Structure and theoretical PXRD pattern of Pu3InPt3 (a cell relaxed with GGA-PBE; λ = 1.5418 Å (Cu Kα)).
No peak broadening, texture or thermal motion is included.

Atomic structure:
Lattice parameters (Å, degrees): 5.6358 5.6358 13.8287 90.00 90.00 133.64
Sites, in units of the cell vectors:
Pu  0.0447  0.9553  0.7500
Pu  0.3091  0.6909  0.6066
Pu  0.3091  0.6909  0.8934
Pu  0.6909  0.3091  0.1066
Pu  0.6909  0.3091  0.3934
Pu  0.9553  0.0447  0.2500
In  0.0000  0.0000  0.0000
In  0.0000  0.0000  0.5000
Pt  0.2278  0.7722  0.2500
Pt  0.3997  0.6003  0.0985
Pt  0.3997  0.6003  0.4015
Pt  0.6003  0.3997  0.5985
Pt  0.6003  0.3997  0.9015
Pt  0.7722  0.2278  0.7500

The 8 most intense peaks (2θ = 10–90°), sorted by position:
2θ 25.4, I 27
2θ 32.9, I 51
2θ 34.0, I 100
2θ 35.2, I 42
2θ 38.4, I 97
2θ 39.1, I 26
2θ 40.7, I 51
2θ 54.9, I 24